Calculated powder diffraction line list
Compound: Cs2YGaBr6
Radiation: Cu Kα (λ = 1.5418 Å)
Structure: the GGA-PBE geometry in Alexandria
Peak positions follow from Bragg's law for the DFT cell and can differ from measured ones.

Cell lengths 8.1794, 8.3136, 14.2694 Å; angles 90.00, 124.90, 90.00 degrees
Atoms (fractional coordinates):
Cs: 0.2391 0.0448 0.2500
Cs: 0.2391 0.4552 0.7500
Cs: 0.7609 0.5448 0.2500
Cs: 0.7609 0.9552 0.7500
Y: 0.5000 0.0000 0.0000
Y: 0.5000 0.5000 0.5000
Ga: 0.0000 0.0000 0.5000
Ga: 0.0000 0.5000 0.0000
Br: 0.1941 0.1989 0.9698
Br: 0.1941 0.3011 0.4698
Br: 0.2739 0.7249 0.9717
Br: 0.2739 0.7751 0.4717
Br: 0.3196 0.0061 0.7627
Br: 0.3196 0.4939 0.2627
Br: 0.6804 0.5061 0.7373
Br: 0.6804 0.9939 0.2373
Br: 0.7261 0.2249 0.5283
Br: 0.7261 0.2751 0.0283
Br: 0.8059 0.6989 0.5302
Br: 0.8059 0.8011 0.0302

Top 12 peaks for 10° ≤ 2θ ≤ 90°, low angle first:
Position (°2θ)  intensity  (hkl)
21.4  147  0 2 0
21.5  516  1 1 -3
21.7  140  2 0 -2
26.3  621  0 2 2
26.6  594  2 0 -4
30.6  603  0 0 4
30.7  1000  2 2 -2
35.0  126  1 3 0
37.6  214  0 2 4
38.0  275  3 1 -1
43.8  601  2 2 2
44.3  157  4 0 -4